Record 1
Starting from a DFT-relaxed cell (PBE, Alexandria), the X-ray diffraction stick pattern of Pm2Cd6Pt3 was simulated for copper Kα.
No peak broadening, texture or thermal motion is included.

Peak list (10 most intense, 5° ≤ 2θ ≤ 70°, in order of rising 2θ)
2theta, intensity
21.3, 23.4
30.2, 92.9
32.7, 34.3
32.8, 34.0
37.4, 32.7
39.4, 100.0
42.9, 32.5
45.3, 33.4
63.0, 20.5
64.2, 23.7

Structure:
```
data_Pm2Cd6Pt3
_symmetry_space_group_name_H-M 'P -6 2 m'
_symmetry_Int_Tables_number 189
_symmetry_space_group_name_Hall 'P -6 -2'
_cell_length_a 8.3298
_cell_length_b 8.3298
_cell_length_c 4.2145
_cell_angle_alpha 90.00
_cell_angle_beta 90.00
_cell_angle_gamma 120.00
loop_
_atom_site_label
_atom_site_type_symbol
_atom_site_fract_x
_atom_site_fract_y
_atom_site_fract_z
_atom_site_occupancy
Pm1 Pm 0.3333 0.6667 0.0000 1
Cd1 Cd 0.0000 0.2017 0.0000 1
Cd2 Cd 0.0000 0.7213 0.5000 1
Pt1 Pt 0.0000 0.4040 0.5000 1
```

Record 2
Starting from a DFT-relaxed cell (PBE, Alexandria), the X-ray diffraction stick pattern of PmSc2CdPt2 was simulated for copper Kα.
No peak broadening, texture or thermal motion is included.

Peak list (10 most intense, 5° ≤ 2θ ≤ 70°, in order of rising 2θ)
2theta, intensity
25.6, 69.3
35.0, 100.0
37.9, 94.2
46.2, 14.9
47.1, 20.5
52.5, 31.2
61.2, 13.4
66.5, 30.3
68.4, 16.3
69.7, 21.7

Structure:
```
data_PmSc2CdPt2
_symmetry_space_group_name_H-M 'P -3 m 1'
_symmetry_Int_Tables_number 164
_symmetry_space_group_name_Hall '-P 3 2"'
_cell_length_a 4.7532
_cell_length_b 4.7532
_cell_length_c 6.5532
_cell_angle_alpha 90.00
_cell_angle_beta 90.00
_cell_angle_gamma 120.00
loop_
_atom_site_label
_atom_site_type_symbol
_atom_site_fract_x
_atom_site_fract_y
_atom_site_fract_z
_atom_site_occupancy
Pm1 Pm 0.0000 0.0000 0.0000 1
Sc1 Sc 0.3333 0.6667 0.6696 1
Cd1 Cd 0.0000 0.0000 0.5000 1
Pt1 Pt 0.3333 0.6667 0.2526 1
```

Record 3
Starting from a DFT-relaxed cell (PBE, Alexandria), the X-ray diffraction stick pattern of PmCdSi2Pt7 was simulated for copper Kα.
No peak broadening, texture or thermal motion is included.

Peak list (10 most intense, 5° ≤ 2θ ≤ 70°, in order of rising 2θ)
2theta, intensity
5.9, 100.0
22.1, 9.9
23.6, 16.3
26.5, 14.5
33.4, 11.5
36.1, 86.1
39.6, 9.4
43.8, 17.0
44.6, 34.4
64.9, 11.4

Structure:
```
data_PmCdSi2Pt7
_symmetry_space_group_name_H-M 'I -4 m 2'
_symmetry_Int_Tables_number 119
_symmetry_space_group_name_Hall 'I -4 -2'
_cell_length_a 4.066
_cell_length_b 4.066
_cell_length_c 29.766
_cell_angle_alpha 90.00
_cell_angle_beta 90.00
_cell_angle_gamma 90.00
loop_
_atom_site_label
_atom_site_type_symbol
_atom_site_fract_x
_atom_site_fract_y
_atom_site_fract_z
_atom_site_occupancy
Pm1 Pm 0.000 0.000 0.000 1
Cd1 Cd 0.000 0.500 0.250 1
Si1 Si 0.000 0.000 0.382 1
Pt1 Pt 0.000 0.000 0.307 1
Pt2 Pt 0.000 0.000 0.500 1
Pt3 Pt 0.000 0.500 0.076 1
Pt4 Pt 0.000 0.500 0.575 1
```

Record 4
Starting from a DFT-relaxed cell (PBE, Alexandria), the X-ray diffraction stick pattern of Pm3CdSi2Pt9 was simulated for copper Kα.
No peak broadening, texture or thermal motion is included.

Peak list (10 most intense, 5° ≤ 2θ ≤ 70°, in order of rising 2θ)
2theta, intensity
19.6, 11.7
24.0, 66.8
30.1, 12.9
32.3, 11.8
37.2, 100.0
39.8, 99.9
49.3, 38.3
55.6, 15.9
62.6, 10.2
65.2, 28.1

Structure:
```
data_Pm3CdSi2Pt9
_symmetry_space_group_name_H-M 'P -3 m 1'
_symmetry_Int_Tables_number 164
_symmetry_space_group_name_Hall '-P 3 2"'
_cell_length_a 5.7254
_cell_length_b 5.7254
_cell_length_c 11.1030
_cell_angle_alpha 90.00
_cell_angle_beta 90.00
_cell_angle_gamma 120.00
loop_
_atom_site_label
_atom_site_type_symbol
_atom_site_fract_x
_atom_site_fract_y
_atom_site_fract_z
_atom_site_occupancy
Pm1 Pm 0.0000 0.0000 0.0000 1
Pm2 Pm 0.3333 0.6667 0.6048 1
Cd1 Cd 0.0000 0.0000 0.5000 1
Si1 Si 0.3333 0.6667 0.1575 1
Pt1 Pt 0.0000 0.5000 0.0000 1
Pt2 Pt 0.1621 0.3242 0.3023 1
```

Record 5
Starting from a DFT-relaxed cell (PBE, Alexandria), the X-ray diffraction stick pattern of Pm3Cd2Rh2 was simulated for copper Kα.
No peak broadening, texture or thermal motion is included.

Peak list (10 most intense, 5° ≤ 2θ ≤ 70°, in order of rising 2θ)
2theta, intensity
7.7, 27.9
29.8, 30.1
32.6, 100.0
33.0, 77.0
34.5, 26.9
35.6, 47.0
38.0, 29.7
45.8, 26.8
47.1, 24.7
57.6, 33.4

Structure:
```
data_Pm3Cd2Rh2
_symmetry_space_group_name_H-M 'C m m m'
_symmetry_Int_Tables_number 65
_symmetry_space_group_name_Hall '-C 2 2'
_cell_length_a 3.961
_cell_length_b 22.869
_cell_length_c 3.862
_cell_angle_alpha 90.00
_cell_angle_beta 90.00
_cell_angle_gamma 90.00
loop_
_atom_site_label
_atom_site_type_symbol
_atom_site_fract_x
_atom_site_fract_y
_atom_site_fract_z
_atom_site_occupancy
Pm1 Pm 0.000 0.000 0.000 1
Pm2 Pm 0.000 0.176 0.000 1
Cd1 Cd 0.000 0.415 0.500 1
Rh1 Rh 0.000 0.290 0.500 1
```

Record 6
Starting from a DFT-relaxed cell (PBE, Alexandria), the X-ray diffraction stick pattern of Pm3CdRh4 was simulated for copper Kα.
No peak broadening, texture or thermal motion is included.

Peak list (9 most intense, 5° ≤ 2θ ≤ 70°, in order of rising 2θ)
2theta, intensity
25.5, 1.1
26.1, 2.2
36.8, 100.0
37.2, 48.5
45.7, 1.0
52.5, 8.9
53.7, 16.7
66.1, 17.6
66.9, 34.1

Structure:
```
data_Pm3CdRh4
_symmetry_space_group_name_H-M 'P 4/m m m'
_symmetry_Int_Tables_number 123
_symmetry_space_group_name_Hall '-P 4 2'
_cell_length_a 4.830
_cell_length_b 4.830
_cell_length_c 6.975
_cell_angle_alpha 90.00
_cell_angle_beta 90.00
_cell_angle_gamma 90.00
loop_
_atom_site_label
_atom_site_type_symbol
_atom_site_fract_x
_atom_site_fract_y
_atom_site_fract_z
_atom_site_occupancy
Pm1 Pm 0.000 0.000 0.000 1
Pm2 Pm 0.000 0.000 0.500 1
Pm3 Pm 0.500 0.500 0.000 1
Cd1 Cd 0.500 0.500 0.500 1
Rh1 Rh 0.000 0.500 0.250 1
```